[1]
Starting from a cell relaxed with PBE, the powder X-ray diffraction pattern of NiSn3Pd was computed for Cu Kα, 1.54184 Å.

Crystal structure
```
NiSn3Pd
1.0
-2.2872 2.2872 5.2715
2.2872 -2.2872 5.2715
2.2872 2.2872 -5.2715
Ni Sn Pd
1 3 1
Direct
0.0000 0.0000 0.0000
0.3914 0.8914 0.5000
0.6480 0.6480 0.0000
0.8914 0.3914 0.5000
0.2426 0.2426 0.0000
```

Peak list (8 most intense, 15 to 90 degrees two-theta, by angle)
two_theta	I_rel
32.12	34
32.48	100
39.40	58
44.33	24
47.48	14
51.70	18
56.94	20
67.10	29



[2]
Starting from a cell relaxed with PBE, the powder X-ray diffraction pattern of K2NdP2S7 was computed for Cu Kα, 1.54184 Å.

Crystal structure
```
K2NdP2S7
1.0
9.1304 0.0000 0.0000
0.0000 6.8734 0.0000
-6.6849 0.0000 19.8905
K Nd P S
8 4 8 28
Direct
0.1633 0.0288 0.3110
0.1633 0.4712 0.8110
0.2483 0.5100 0.4908
0.2483 0.9900 0.9908
0.7517 0.0100 0.0092
0.7517 0.4900 0.5092
0.8367 0.5288 0.1890
0.8367 0.9712 0.6890
0.3396 0.0315 0.6504
0.3396 0.4685 0.1504
0.6604 0.5315 0.8496
0.6604 0.9685 0.3496
0.0390 0.0088 0.4551
0.0390 0.4912 0.9551
0.4305 0.5134 0.3306
0.4305 0.9866 0.8306
0.5695 0.0134 0.1694
0.5695 0.4866 0.6694
0.9610 0.5088 0.0449
0.9610 0.9912 0.5449
0.0436 0.2377 0.5990
0.0436 0.2623 0.0990
0.0726 0.7419 0.0987
0.0726 0.7581 0.5987
0.2154 0.0167 0.7608
0.2154 0.4833 0.2608
0.2702 0.0329 0.4933
0.2702 0.4671 0.9933
0.4170 0.0784 0.2211
0.4170 0.4216 0.7211
0.4377 0.7433 0.3931
0.4377 0.7567 0.8931
0.4869 0.2270 0.8909
0.4869 0.2730 0.3909
0.5131 0.7270 0.6091
0.5131 0.7730 0.1091
0.5623 0.2433 0.1069
0.5623 0.2567 0.6069
0.5830 0.5784 0.2789
0.5830 0.9216 0.7789
0.7298 0.5329 0.0067
0.7298 0.9671 0.5067
0.7846 0.5167 0.7392
0.7846 0.9833 0.2392
0.9274 0.2419 0.4013
0.9274 0.2581 0.9013
0.9564 0.7377 0.9010
0.9564 0.7623 0.4010
```

Peak list (8 most intense, 15 to 90 degrees two-theta, by angle)
two_theta	I_rel
16.19	94
17.87	61
25.92	84
28.33	66
30.92	61
32.69	81
33.29	62
37.67	100



Number 1 is which compound?
NiSn3Pd